[1]
Diffraction record for Mn3O5F. The powder XRD pattern is simulated, not measured: it uses a GGA+U-relaxed structure and Cu Kα X-rays.
Intensities are scaled so that the largest is 100.

Most intense lines, 5 to 70 degrees two-theta, sorted by position:
| Position (°2θ) | I (rel.) |
| --- | --- |
| 27.78 | 100 |
| 35.63 | 41 |
| 35.71 | 13 |
| 40.95 | 8 |
| 41.00 | 8 |
| 54.33 | 29 |
| 54.43 | 15 |
| 54.51 | 14 |
| 57.38 | 16 |
| 61.26 | 9 |
| 68.55 | 11 |
| 69.22 | 10 |

Unit cell a=5.443 b=5.469 c=7.106 alpha=72.65 beta=72.92 gamma=72.10
Element x y z (fractional)
Mn 0.000 0.000 0.000
Mn 0.002 0.010 0.510
Mn 0.347 0.348 0.658
Mn 0.358 0.365 0.168
Mn 0.681 0.673 0.828
Mn 0.710 0.658 0.334
O 0.000 0.366 0.332
O 0.040 0.650 0.669
O 0.112 0.109 0.707
O 0.317 0.704 0.991
O 0.462 0.454 0.364
O 0.585 0.576 0.623
O 0.650 0.036 0.668
O 0.707 0.317 0.997
O 0.773 0.778 0.041
O 0.922 0.901 0.295
F 0.242 0.230 0.975
F 0.388 0.980 0.336

=====

[2]
Diffraction record for Mn8O13F3. The powder XRD pattern is simulated, not measured: it uses a GGA+U-relaxed structure and Cu Kα X-rays.
Intensities are scaled so that the largest is 100.

Most intense lines, 5 to 70 degrees two-theta, sorted by position:
| Position (°2θ) | I (rel.) |
| --- | --- |
| 25.48 | 55 |
| 25.65 | 54 |
| 31.17 | 48 |
| 31.31 | 100 |
| 31.44 | 45 |
| 35.98 | 20 |
| 37.31 | 43 |
| 54.77 | 23 |
| 55.10 | 23 |
| 55.63 | 18 |
| 55.81 | 18 |
| 65.56 | 28 |

Unit cell a=4.992 b=7.086 c=7.134 alpha=101.45 beta=90.22 gamma=90.19
Element x y z (fractional)
Mn 0.000 0.000 0.000
Mn 0.001 0.510 0.990
Mn 0.003 0.519 0.497
Mn 0.447 0.156 0.358
Mn 0.482 0.668 0.334
Mn 0.501 0.654 0.844
Mn 0.516 0.164 0.859
Mn 0.964 0.008 0.504
O 0.137 0.259 0.480
O 0.164 0.521 0.246
O 0.181 0.750 0.981
O 0.283 0.919 0.358
O 0.322 0.146 0.097
O 0.322 0.646 0.590
O 0.332 0.410 0.858
O 0.642 0.147 0.597
O 0.677 0.911 0.853
O 0.678 0.645 0.085
O 0.809 0.750 0.475
O 0.831 0.523 0.745
O 0.836 0.256 0.980
F 0.196 0.028 0.746
F 0.663 0.398 0.361
F 0.768 0.024 0.245

=====

[3]
Diffraction record for Mn3O5F. The powder XRD pattern is simulated, not measured: it uses a GGA+U-relaxed structure and Cu Kα X-rays.
Intensities are scaled so that the largest is 100.

Most intense lines, 5 to 70 degrees two-theta, sorted by position:
| Position (°2θ) | I (rel.) |
| --- | --- |
| 27.15 | 100 |
| 28.30 | 98 |
| 35.63 | 25 |
| 35.76 | 54 |
| 35.92 | 29 |
| 53.77 | 30 |
| 54.09 | 16 |
| 54.94 | 27 |
| 56.00 | 16 |
| 58.54 | 16 |
| 61.62 | 17 |
| 69.16 | 23 |

Unit cell a=4.527 b=5.492 c=7.548 alpha=86.15 beta=88.83 gamma=87.90
Element x y z (fractional)
Mn 0.000 0.000 0.000
Mn 0.001 0.678 0.322
Mn 0.501 0.173 0.326
Mn 0.517 0.517 0.998
Mn 0.519 0.850 0.668
Mn 0.978 0.326 0.649
O 0.213 0.961 0.222
O 0.297 0.795 0.888
O 0.298 0.463 0.220
O 0.309 0.139 0.558
O 0.707 0.216 0.099
O 0.709 0.551 0.764
O 0.718 0.893 0.436
O 0.796 0.041 0.773
O 0.796 0.392 0.425
O 0.807 0.721 0.101
F 0.199 0.295 0.886
F 0.217 0.643 0.555

=====

[4]
Diffraction record for Mn8O13F3. The powder XRD pattern is simulated, not measured: it uses a GGA+U-relaxed structure and Cu Kα X-rays.
Intensities are scaled so that the largest is 100.

Most intense lines, 5 to 70 degrees two-theta, sorted by position:
| Position (°2θ) | I (rel.) |
| --- | --- |
| 25.39 | 100 |
| 25.70 | 94 |
| 31.02 | 83 |
| 31.28 | 82 |
| 31.35 | 87 |
| 31.47 | 79 |
| 35.94 | 40 |
| 37.16 | 38 |
| 37.29 | 34 |
| 54.67 | 42 |
| 55.16 | 38 |
| 55.69 | 34 |

Unit cell a=5.519 b=6.697 c=6.753 alpha=96.00 beta=90.63 gamma=90.30
Element x y z (fractional)
Mn 0.000 0.000 0.000
Mn 0.004 0.488 0.494
Mn 0.262 0.746 0.253
Mn 0.319 0.233 0.751
Mn 0.499 0.241 0.253
Mn 0.504 0.741 0.752
Mn 0.794 0.498 0.002
Mn 0.814 0.990 0.512
O 0.030 0.539 0.225
O 0.030 0.948 0.280
O 0.043 0.047 0.729
O 0.246 0.789 0.974
O 0.248 0.697 0.531
O 0.260 0.200 0.030
O 0.262 0.288 0.473
O 0.534 0.465 0.806
O 0.540 0.017 0.699
O 0.753 0.781 0.956
O 0.758 0.218 0.054
O 0.760 0.708 0.550
O 0.763 0.269 0.457
F 0.042 0.448 0.773
F 0.514 0.547 0.216
F 0.524 0.939 0.299

=====

[5]
Diffraction record for Mn6O7F5. The powder XRD pattern is simulated, not measured: it uses a GGA+U-relaxed structure and Cu Kα X-rays.
Intensities are scaled so that the largest is 100.

Most intense lines, 5 to 70 degrees two-theta, sorted by position:
| Position (°2θ) | I (rel.) |
| --- | --- |
| 24.35 | 100 |
| 28.45 | 73 |
| 34.83 | 43 |
| 35.43 | 32 |
| 37.79 | 15 |
| 49.54 | 30 |
| 49.90 | 15 |
| 50.89 | 29 |
| 54.60 | 21 |
| 55.02 | 18 |
| 65.96 | 18 |
| 67.09 | 18 |

Unit cell a=5.636 b=5.636 c=7.993 alpha=112.53 beta=112.53 gamma=67.65
Element x y z (fractional)
Mn 0.000 0.000 0.000
Mn 0.004 0.004 0.467
Mn 0.319 0.319 0.326
Mn 0.330 0.330 0.817
Mn 0.659 0.659 0.163
Mn 0.668 0.668 0.650
O 0.021 0.631 0.326
O 0.095 0.095 0.262
O 0.300 0.693 0.987
O 0.363 0.970 0.645
O 0.631 0.021 0.326
O 0.693 0.300 0.987
O 0.970 0.363 0.645
F 0.208 0.208 0.010
F 0.449 0.449 0.628
F 0.541 0.541 0.354
F 0.783 0.783 0.960
F 0.897 0.897 0.714

=====

[6]
Diffraction record for MnOF2. The powder XRD pattern is simulated, not measured: it uses a GGA+U-relaxed structure and Cu Kα X-rays.
Intensities are scaled so that the largest is 100.

Most intense lines, 5 to 70 degrees two-theta, sorted by position:
| Position (°2θ) | I (rel.) |
| --- | --- |
| 11.42 | 76 |
| 23.64 | 100 |
| 24.80 | 19 |
| 27.77 | 45 |
| 30.66 | 29 |
| 34.73 | 30 |
| 39.32 | 16 |
| 39.48 | 17 |
| 45.29 | 24 |
| 48.13 | 16 |
| 49.80 | 31 |
| 51.57 | 17 |

Unit cell a=7.936 b=4.963 c=5.913 alpha=90.00 beta=102.46 gamma=90.00
Element x y z (fractional)
Mn 0.172 0.017 0.385
Mn 0.172 0.483 0.885
Mn 0.828 0.517 0.115
Mn 0.828 0.983 0.615
O 0.447 0.596 0.996
O 0.447 0.904 0.496
O 0.553 0.096 0.504
O 0.553 0.404 0.004
F 0.086 0.670 0.173
F 0.086 0.830 0.673
F 0.242 0.168 0.104
F 0.242 0.332 0.604
F 0.758 0.668 0.396
F 0.758 0.832 0.896
F 0.914 0.170 0.327
F 0.914 0.330 0.827

=====

[7]
Diffraction record for Mn8O13F3. The powder XRD pattern is simulated, not measured: it uses a GGA+U-relaxed structure and Cu Kα X-rays.
Intensities are scaled so that the largest is 100.

Most intense lines, 5 to 70 degrees two-theta, sorted by position:
| Position (°2θ) | I (rel.) |
| --- | --- |
| 25.27 | 58 |
| 25.69 | 55 |
| 30.93 | 50 |
| 31.23 | 50 |
| 31.42 | 100 |
| 36.04 | 23 |
| 37.08 | 23 |
| 44.78 | 25 |
| 54.69 | 25 |
| 55.11 | 42 |
| 56.16 | 37 |
| 65.78 | 22 |

Unit cell a=4.512 b=5.530 c=9.969 alpha=89.60 beta=89.58 gamma=89.06
Element x y z (fractional)
Mn 0.000 0.000 0.000
Mn 0.001 0.006 0.495
Mn 0.012 0.324 0.746
Mn 0.471 0.798 0.757
Mn 0.479 0.525 0.011
Mn 0.504 0.508 0.508
Mn 0.511 0.820 0.254
Mn 0.978 0.299 0.246
O 0.219 0.048 0.834
O 0.219 0.277 0.086
O 0.222 0.046 0.334
O 0.225 0.264 0.583
O 0.252 0.760 0.589
O 0.254 0.562 0.849
O 0.267 0.773 0.097
O 0.713 0.541 0.670
O 0.713 0.772 0.917
O 0.725 0.546 0.168
O 0.727 0.767 0.418
O 0.754 0.263 0.415
O 0.763 0.052 0.160
F 0.253 0.534 0.340
F 0.742 0.285 0.913
F 0.745 0.030 0.666

=====

[8]
Diffraction record for Mn12O17F7. The powder XRD pattern is simulated, not measured: it uses a GGA+U-relaxed structure and Cu Kα X-rays.
Intensities are scaled so that the largest is 100.

Most intense lines, 5 to 70 degrees two-theta, sorted by position:
| Position (°2θ) | I (rel.) |
| --- | --- |
| 25.36 | 100 |
| 30.94 | 89 |
| 31.16 | 81 |
| 35.69 | 18 |
| 36.66 | 21 |
| 37.05 | 18 |
| 41.93 | 18 |
| 42.29 | 17 |
| 53.29 | 25 |
| 54.48 | 21 |
| 54.67 | 19 |
| 55.28 | 31 |

Unit cell a=4.521 b=5.576 c=15.096 alpha=90.69 beta=90.18 gamma=90.06
Element x y z (fractional)
Mn 0.000 0.000 0.000
Mn 0.001 0.995 0.670
Mn 0.004 0.720 0.506
Mn 0.015 0.996 0.330
Mn 0.028 0.713 0.166
Mn 0.464 0.205 0.825
Mn 0.468 0.523 0.658
Mn 0.471 0.522 0.992
Mn 0.489 0.190 0.491
Mn 0.492 0.190 0.154
Mn 0.507 0.506 0.320
Mn 0.986 0.732 0.836
O 0.202 0.975 0.891
O 0.214 0.760 0.730
O 0.230 0.952 0.564
O 0.251 0.937 0.226
O 0.254 0.251 0.717
O 0.256 0.488 0.887
O 0.256 0.736 0.055
O 0.267 0.462 0.548
O 0.281 0.458 0.211
O 0.294 0.250 0.044
O 0.300 0.240 0.378
O 0.746 0.746 0.942
O 0.754 0.978 0.774
O 0.771 0.740 0.608
O 0.791 0.969 0.443
O 0.797 0.969 0.109
O 0.800 0.725 0.272
F 0.267 0.737 0.403
F 0.722 0.262 0.933
F 0.729 0.493 0.771
F 0.738 0.226 0.605
F 0.753 0.232 0.259
F 0.760 0.487 0.096
F 0.766 0.482 0.436

=====

[9]
Diffraction record for Mn3O4F2. The powder XRD pattern is simulated, not measured: it uses a GGA+U-relaxed structure and Cu Kα X-rays.
Intensities are scaled so that the largest is 100.

Most intense lines, 5 to 70 degrees two-theta, sorted by position:
| Position (°2θ) | I (rel.) |
| --- | --- |
| 27.45 | 100 |
| 34.82 | 28 |
| 34.95 | 28 |
| 40.18 | 20 |
| 53.33 | 29 |
| 53.62 | 30 |
| 56.65 | 17 |
| 59.58 | 10 |
| 64.42 | 4 |
| 66.81 | 12 |
| 67.90 | 10 |
| 68.66 | 11 |

Unit cell a=9.310 b=4.624 c=4.568 alpha=90.00 beta=90.00 gamma=90.00
Element x y z (fractional)
Mn 0.000 0.250 0.000
Mn 0.160 0.719 0.472
Mn 0.340 0.281 0.972
Mn 0.500 0.750 0.500
Mn 0.660 0.281 0.972
Mn 0.840 0.719 0.472
O 0.000 0.532 0.676
O 0.000 0.924 0.286
O 0.172 0.438 0.168
O 0.328 0.562 0.668
O 0.500 0.076 0.786
O 0.500 0.468 0.176
O 0.672 0.562 0.668
O 0.828 0.438 0.168
F 0.171 0.043 0.775
F 0.329 0.957 0.275
F 0.671 0.957 0.275
F 0.829 0.043 0.775

=====

[10]
Diffraction record for Mn6OF11. The powder XRD pattern is simulated, not measured: it uses a GGA+U-relaxed structure and Cu Kα X-rays.
Intensities are scaled so that the largest is 100.

Most intense lines, 5 to 70 degrees two-theta, sorted by position:
| Position (°2θ) | I (rel.) |
| --- | --- |
| 25.40 | 100 |
| 26.02 | 91 |
| 32.48 | 52 |
| 32.58 | 50 |
| 37.25 | 22 |
| 49.47 | 69 |
| 50.07 | 29 |
| 50.29 | 29 |
| 52.16 | 19 |
| 55.22 | 22 |
| 63.35 | 24 |
| 63.54 | 24 |

Unit cell a=5.915 b=5.915 c=7.628 alpha=105.86 beta=105.86 gamma=72.72
Element x y z (fractional)
Mn 0.000 0.000 0.000
Mn 0.004 0.004 0.469
Mn 0.335 0.335 0.831
Mn 0.342 0.342 0.323
Mn 0.673 0.673 0.654
Mn 0.687 0.687 0.147
O 0.911 0.911 0.183
F 0.034 0.648 0.829
F 0.097 0.097 0.795
F 0.240 0.240 0.533
F 0.309 0.703 0.492
F 0.361 0.980 0.149
F 0.451 0.451 0.124
F 0.566 0.566 0.854
F 0.648 0.034 0.829
F 0.703 0.309 0.492
F 0.773 0.773 0.448
F 0.980 0.361 0.149